1.
Structure and simulated X-ray powder pattern of Zn3Sn5O12 (DFT lattice parameters and positions (GGA-PBE); a wavelength of 1.5418 Å).
Lines closer than 0.1° are merged.

Crystal structure
```
data_Zn3Sn5O12
_symmetry_space_group_name_H-M 'P 1'
_symmetry_Int_Tables_number 1
_symmetry_space_group_name_Hall 'P 1'
_cell_length_a 6.738
_cell_length_b 6.738
_cell_length_c 6.738
_cell_angle_alpha 109.47
_cell_angle_beta 109.47
_cell_angle_gamma 109.47
loop_
_atom_site_label
_atom_site_fract_x
_atom_site_fract_y
_atom_site_fract_z
_atom_site_occupancy
Zn1 0.000 0.500 0.500 1
Zn2 0.500 0.000 0.500 1
Zn3 0.500 0.500 0.000 1
Sn1 0.000 0.000 0.000 1
Sn2 0.000 0.000 0.500 1
Sn3 0.000 0.500 0.000 1
Sn4 0.500 0.000 0.000 1
Sn5 0.500 0.500 0.500 1
O1 0.130 0.309 0.821 1
O2 0.179 0.488 0.309 1
O3 0.179 0.870 0.691 1
O4 0.309 0.179 0.488 1
O5 0.309 0.821 0.130 1
O6 0.488 0.309 0.179 1
O7 0.512 0.691 0.821 1
O8 0.691 0.179 0.870 1
O9 0.691 0.821 0.512 1
O10 0.821 0.130 0.309 1
O11 0.821 0.512 0.691 1
O12 0.870 0.691 0.179 1
```

Peak list (12 most intense, 2θ from 10° to 80°, sorted by position)
- 16.11 deg, I 2
- 22.86 deg, I 6
- 32.55 deg, I 100
- 36.52 deg, I 3
- 43.52 deg, I 3
- 46.70 deg, I 24
- 52.61 deg, I 4
- 58.08 deg, I 49
- 68.18 deg, I 14
- 72.96 deg, I 1
- 75.30 deg, I 1
- 77.61 deg, I 19

---

2.
Structure and simulated X-ray powder pattern of Zr2SnO4 (DFT lattice parameters and positions (GGA-PBE); a wavelength of 1.5418 Å).
Lines closer than 0.1° are merged.

Crystal structure
```
data_Zr2SnO4
_symmetry_space_group_name_H-M 'P 1'
_symmetry_Int_Tables_number 1
_symmetry_space_group_name_Hall 'P 1'
_cell_length_a 6.703
_cell_length_b 6.703
_cell_length_c 6.703
_cell_angle_alpha 60.00
_cell_angle_beta 60.00
_cell_angle_gamma 60.00
loop_
_atom_site_label
_atom_site_fract_x
_atom_site_fract_y
_atom_site_fract_z
_atom_site_occupancy
Zr1 0.000 0.000 0.000 1
Zr2 0.000 0.000 0.500 1
Zr3 0.000 0.500 0.000 1
Zr4 0.500 0.000 0.000 1
Sn1 0.375 0.375 0.375 1
Sn2 0.625 0.625 0.625 1
O1 0.189 0.770 0.770 1
O2 0.230 0.230 0.230 1
O3 0.230 0.230 0.811 1
O4 0.230 0.811 0.230 1
O5 0.770 0.189 0.770 1
O6 0.770 0.770 0.189 1
O7 0.770 0.770 0.770 1
O8 0.811 0.230 0.230 1
```

Peak list (12 most intense, 2θ from 10° to 80°, sorted by position)
- 26.60 deg, I 39
- 31.29 deg, I 100
- 32.72 deg, I 15
- 37.97 deg, I 7
- 46.96 deg, I 15
- 49.99 deg, I 43
- 54.78 deg, I 41
- 61.90 deg, I 6
- 64.45 deg, I 13
- 65.29 deg, I 9
- 74.97 deg, I 10
- 77.31 deg, I 22